# 1
# TmSe
Simulated powder diffractogram, Cu Ka. Input: a crystal structure in the Materials Project, relaxed with PBE.

Top 6 peaks for 2θ = 5–70°, by intensity:
d/Å	2theta	I/Imax
2.839	31.51	100
2.008	45.16	74
1.639	56.10	26
3.279	27.20	24
1.420	65.78	12
1.712	53.52	12

Crystal structure
```
data_TmSe
_cell_length_a 4.015
_cell_length_b 4.015
_cell_length_c 4.015
_cell_angle_alpha 60.00
_cell_angle_beta 60.00
_cell_angle_gamma 60.00
_symmetry_space_group_name_H-M 'P 1'
_symmetry_Int_Tables_number 1
loop_
_symmetry_equiv_pos_as_xyz
'x,y,z'
loop_
_atom_site_label
_atom_site_type_symbol
_atom_site_fract_x
_atom_site_fract_y
_atom_site_fract_z
Tm1 Tm 0.000 0.000 0.000
Se1 Se 0.500 0.500 0.500
```


# 2
# Na3Np
Simulated powder diffractogram, Cu Ka. Input: a crystal structure in the Materials Project, relaxed with PBE.

Top 10 peaks for 2θ = 5–70°, by intensity:
d/Å	2theta	I/Imax
4.325	20.54	100
2.803	31.93	73
3.681	24.18	45
6.376	13.89	36
2.230	40.45	34
2.299	39.19	26
2.943	30.37	19
3.188	27.99	17
1.560	59.21	17
1.694	54.16	16

Crystal structure
```
data_Na3Np
_cell_length_a 7.362
_cell_length_b 7.362
_cell_length_c 5.885
_cell_angle_alpha 90.00
_cell_angle_beta 90.00
_cell_angle_gamma 120.00
_symmetry_space_group_name_H-M 'P 1'
_symmetry_Int_Tables_number 1
loop_
_symmetry_equiv_pos_as_xyz
'x,y,z'
loop_
_atom_site_label
_atom_site_type_symbol
_atom_site_fract_x
_atom_site_fract_y
_atom_site_fract_z
Na1 Na 0.160 0.320 0.250
Na2 Na 0.160 0.840 0.250
Na3 Na 0.320 0.160 0.750
Na4 Na 0.680 0.840 0.250
Na5 Na 0.840 0.160 0.750
Na6 Na 0.840 0.680 0.750
Np1 Np 0.333 0.667 0.750
Np2 Np 0.667 0.333 0.250
```


# 3
# Bi2PbF8
Simulated powder diffractogram, Cu Ka. Input: a crystal structure in the Materials Project, relaxed with PBE.

Top 10 peaks for 2θ = 5–70°, by intensity:
d/Å	2theta	I/Imax
3.400	26.21	100
2.049	44.20	41
1.819	50.16	36
3.044	29.34	33
2.153	41.97	27
1.698	53.99	24
2.770	32.32	11
1.522	60.86	9
1.389	67.41	8
1.361	68.98	7

Crystal structure
```
data_Bi2PbF8
_cell_length_a 8.850
_cell_length_b 8.850
_cell_length_c 8.850
_cell_angle_alpha 151.85
_cell_angle_beta 151.85
_cell_angle_gamma 40.24
_symmetry_space_group_name_H-M 'P 1'
_symmetry_Int_Tables_number 1
loop_
_symmetry_equiv_pos_as_xyz
'x,y,z'
loop_
_atom_site_label
_atom_site_type_symbol
_atom_site_fract_x
_atom_site_fract_y
_atom_site_fract_z
Bi1 Bi 0.177 0.177 0.000
Bi2 Bi 0.823 0.823 0.000
Pb1 Pb 0.500 0.500 0.000
F1 F 0.087 0.587 0.500
F2 F 0.250 0.750 0.500
F3 F 0.313 0.313 0.000
F4 F 0.413 0.913 0.500
F5 F 0.587 0.087 0.500
F6 F 0.687 0.687 0.000
F7 F 0.750 0.250 0.500
F8 F 0.913 0.413 0.500
```


# 4
# Ca3Sc2N4
Simulated powder diffractogram, Cu Ka. Input: a crystal structure in the Materials Project, relaxed with PBE.

Top 10 peaks for 2θ = 5–70°, by intensity:
d/Å	2theta	I/Imax
2.936	30.44	100
2.949	30.31	48
2.809	31.85	38
2.122	42.61	36
2.103	43.01	31
2.112	42.82	31
2.034	44.55	28
1.852	49.21	28
2.051	44.16	23
3.087	28.93	20

Crystal structure
```
data_Ca3Sc2N4
_cell_length_a 6.908
_cell_length_b 6.908
_cell_length_c 6.174
_cell_angle_alpha 90.42
_cell_angle_beta 90.42
_cell_angle_gamma 75.80
_symmetry_space_group_name_H-M 'P 1'
_symmetry_Int_Tables_number 1
loop_
_symmetry_equiv_pos_as_xyz
'x,y,z'
loop_
_atom_site_label
_atom_site_type_symbol
_atom_site_fract_x
_atom_site_fract_y
_atom_site_fract_z
Ca1 Ca 0.104 0.896 0.750
Ca2 Ca 0.258 0.517 0.515
Ca3 Ca 0.483 0.742 0.985
Ca4 Ca 0.517 0.258 0.015
Ca5 Ca 0.742 0.483 0.485
Ca6 Ca 0.896 0.104 0.250
Sc1 Sc 0.066 0.314 0.894
Sc2 Sc 0.314 0.066 0.394
Sc3 Sc 0.686 0.934 0.606
Sc4 Sc 0.934 0.686 0.106
N1 N 0.063 0.231 0.564
N2 N 0.213 0.547 0.931
N3 N 0.231 0.063 0.064
N4 N 0.453 0.787 0.569
N5 N 0.547 0.213 0.431
N6 N 0.769 0.937 0.936
N7 N 0.787 0.453 0.069
N8 N 0.937 0.769 0.436
```


# 5
# La2Rh2I
Simulated powder diffractogram, Cu Ka. Input: a crystal structure in the Materials Project, relaxed with PBE.

Top 10 peaks for 2θ = 5–70°, by intensity:
d/Å	2theta	I/Imax
2.885	31.00	100
2.185	41.31	50
8.912	9.92	33
1.742	52.54	22
1.560	59.23	22
1.362	68.94	20
2.337	38.52	17
3.702	24.04	13
2.228	40.49	11
3.192	27.95	10

Crystal structure
```
data_La2Rh2I
_cell_length_a 4.371
_cell_length_b 4.371
_cell_length_c 17.824
_cell_angle_alpha 90.00
_cell_angle_beta 90.00
_cell_angle_gamma 120.00
_symmetry_space_group_name_H-M 'P 1'
_symmetry_Int_Tables_number 1
loop_
_symmetry_equiv_pos_as_xyz
'x,y,z'
loop_
_atom_site_label
_atom_site_type_symbol
_atom_site_fract_x
_atom_site_fract_y
_atom_site_fract_z
La1 La 0.000 0.000 0.106
La2 La 0.000 0.000 0.394
La3 La 0.000 0.000 0.606
La4 La 0.000 0.000 0.894
Rh1 Rh 0.333 0.667 0.001
Rh2 Rh 0.333 0.667 0.499
Rh3 Rh 0.667 0.333 0.501
Rh4 Rh 0.667 0.333 0.999
I1 I 0.333 0.667 0.750
I2 I 0.667 0.333 0.250
```


# 6
# SiO2
Simulated powder diffractogram, Cu Ka. Input: a crystal structure in the Materials Project, relaxed with PBE.

Top 10 peaks for 2θ = 5–70°, by intensity:
d/Å	2theta	I/Imax
6.227	14.22	100
6.103	14.51	33
5.119	17.32	29
3.129	28.52	24
3.113	28.67	13
3.052	29.27	8
2.533	35.43	6
1.801	50.70	4
2.143	42.16	3
1.774	51.53	3

Crystal structure
```
data_SiO2
_cell_length_a 7.966
_cell_length_b 7.966
_cell_length_c 7.966
_cell_angle_alpha 125.95
_cell_angle_beta 125.95
_cell_angle_gamma 79.97
_symmetry_space_group_name_H-M 'P 1'
_symmetry_Int_Tables_number 1
loop_
_symmetry_equiv_pos_as_xyz
'x,y,z'
loop_
_atom_site_label
_atom_site_type_symbol
_atom_site_fract_x
_atom_site_fract_y
_atom_site_fract_z
Si1 Si 0.000 0.000 0.000
Si2 Si 0.005 0.211 0.794
Si3 Si 0.418 0.211 0.206
Si4 Si 0.789 0.582 0.794
Si5 Si 0.789 0.995 0.206
O1 O 0.262 0.078 0.184
O2 O 0.265 0.265 0.000
O3 O 0.566 0.066 0.132
O4 O 0.566 0.434 0.500
O5 O 0.735 0.735 0.000
O6 O 0.894 0.078 0.816
O7 O 0.922 0.106 0.184
O8 O 0.922 0.738 0.816
O9 O 0.934 0.066 0.500
O10 O 0.934 0.434 0.868
```


# 7
# Pr2ZrSe5
Simulated powder diffractogram, Cu Ka. Input: a crystal structure in the Materials Project, relaxed with PBE.

Top 10 peaks for 2θ = 5–70°, by intensity:
d/Å	2theta	I/Imax
2.741	32.67	100
2.788	32.10	99
2.592	34.61	95
2.835	31.56	57
2.116	42.74	53
2.471	36.36	42
2.037	44.48	42
3.599	24.74	40
2.537	35.37	33
1.696	54.07	25

Crystal structure
```
data_Pr2ZrSe5
_cell_length_a 12.176
_cell_length_b 8.462
_cell_length_c 7.783
_cell_angle_alpha 90.00
_cell_angle_beta 90.00
_cell_angle_gamma 90.00
_symmetry_space_group_name_H-M 'P 1'
_symmetry_Int_Tables_number 1
loop_
_symmetry_equiv_pos_as_xyz
'x,y,z'
loop_
_atom_site_label
_atom_site_type_symbol
_atom_site_fract_x
_atom_site_fract_y
_atom_site_fract_z
Pr1 Pr 0.175 0.003 0.045
Pr2 Pr 0.175 0.497 0.045
Pr3 Pr 0.325 0.503 0.545
Pr4 Pr 0.325 0.997 0.545
Pr5 Pr 0.675 0.003 0.455
Pr6 Pr 0.675 0.497 0.455
Pr7 Pr 0.825 0.503 0.955
Pr8 Pr 0.825 0.997 0.955
Zr1 Zr 0.009 0.750 0.578
Zr2 Zr 0.491 0.250 0.078
Zr3 Zr 0.509 0.750 0.922
Zr4 Zr 0.991 0.250 0.422
Se1 Se 0.004 0.750 0.945
Se2 Se 0.081 0.037 0.672
Se3 Se 0.081 0.463 0.672
Se4 Se 0.187 0.750 0.348
Se5 Se 0.208 0.250 0.329
Se6 Se 0.292 0.750 0.829
Se7 Se 0.313 0.250 0.848
Se8 Se 0.419 0.537 0.172
Se9 Se 0.419 0.963 0.172
Se10 Se 0.496 0.250 0.445
Se11 Se 0.504 0.750 0.555
Se12 Se 0.581 0.037 0.828
Se13 Se 0.581 0.463 0.828
Se14 Se 0.687 0.750 0.152
Se15 Se 0.708 0.250 0.171
Se16 Se 0.792 0.750 0.671
Se17 Se 0.813 0.250 0.652
Se18 Se 0.919 0.537 0.328
Se19 Se 0.919 0.963 0.328
Se20 Se 0.996 0.250 0.055
```